# 1
For GaCu3, a GGA-PBE-relaxed structure gives the theoretical X-ray powder pattern in this record (copper Kα).

Main lines, in order of falling intensity (2θ from 10° to 90°):
2θ = 42.47°, I 100
2θ = 50.47°, I 29
2θ = 89.39°, I 21
2θ = 71.69°, I 19
2θ = 47.35°, I 18
2θ = 84.68°, I 12
2θ = 74.15°, I 9

Cell and atoms:
a b c (Å): 4.614 4.614 4.614
angles (deg): 133.85 133.85 67.33
Fractional coordinates of all 4 atoms:
Ga1 0.000 0.000 0.000
Cu1 0.250 0.750 0.500
Cu2 0.500 0.500 0.000
Cu3 0.750 0.250 0.500



# 2
For GaCu4, a GGA-PBE-relaxed structure gives the theoretical X-ray powder pattern in this record (copper Kα).

Main lines, in order of falling intensity (2θ from 10° to 90°):
2θ = 41.90°, I 100
2θ = 49.27°, I 61
2θ = 43.58°, I 29
2θ = 87.17°, I 21
2θ = 71.04°, I 19
2θ = 73.44°, I 17
2θ = 86.03°, I 11
2θ = 89.46°, I 10

Cell and atoms:
a b c (Å): 10.496 10.496 10.496
angles (deg): 14.53 14.53 14.53
Fractional coordinates of all 5 atoms:
Ga1 0.000 0.000 0.000
Cu1 0.200 0.200 0.200
Cu2 0.402 0.402 0.402
Cu3 0.598 0.598 0.598
Cu4 0.800 0.800 0.800



# 3
For GaCu3, a GGA-PBE-relaxed structure gives the theoretical X-ray powder pattern in this record (copper Kα).

Main lines, in order of falling intensity (2θ from 10° to 90°):
2θ = 42.47°, I 100
2θ = 49.45°, I 47
2θ = 87.83°, I 33
2θ = 72.53°, I 27

Cell and atoms:
a b c (Å): 3.686 3.686 3.686
angles (deg): 90.00 90.00 90.00
Fractional coordinates of all 4 atoms:
Ga1 0.000 0.000 0.000
Cu1 0.000 0.500 0.500
Cu2 0.500 0.000 0.500
Cu3 0.500 0.500 0.000



# 4
For GaCu2, a GGA-PBE-relaxed structure gives the theoretical X-ray powder pattern in this record (copper Kα).

Main lines, in order of falling intensity (2θ from 10° to 90°):
2θ = 42.96°, I 100
2θ = 43.35°, I 25
2θ = 42.81°, I 23
2θ = 79.27°, I 15
2θ = 62.57°, I 14
2θ = 88.75°, I 12
2θ = 78.57°, I 11
2θ = 62.19°, I 8
2θ = 78.84°, I 7
2θ = 88.99°, I 6

Cell and atoms:
a b c (Å): 4.940 4.940 4.940
angles (deg): 130.02 116.81 84.61
Fractional coordinates of all 6 atoms:
Ga1 0.256 0.006 0.250
Ga2 0.744 0.994 0.750
Cu1 0.163 0.666 0.497
Cu2 0.331 0.334 0.997
Cu3 0.669 0.666 0.003
Cu4 0.837 0.334 0.503



# 5
For GaCuGeSe4, a GGA-PBE-relaxed structure gives the theoretical X-ray powder pattern in this record (copper Kα).

Main lines, in order of falling intensity (2θ from 10° to 90°):
2θ = 27.87°, I 100
2θ = 46.49°, I 46
2θ = 54.63°, I 28
2θ = 45.98°, I 23
2θ = 85.51°, I 14
2θ = 55.52°, I 14
2θ = 74.87°, I 12
2θ = 86.61°, I 7
2θ = 67.06°, I 7
2θ = 36.93°, I 6

Cell and atoms:
a b c (Å): 6.745 6.745 6.745
angles (deg): 131.11 131.11 71.64
Fractional coordinates of all 7 atoms:
Ga1 0.000 0.000 0.000
Cu1 0.750 0.250 0.500
Ge1 0.250 0.750 0.500
Se1 0.145 0.142 0.527
Se2 0.382 0.855 0.997
Se3 0.615 0.618 0.473
Se4 0.858 0.385 0.003



# 6
For Hf3Ga4Cu2, a GGA-PBE-relaxed structure gives the theoretical X-ray powder pattern in this record (copper Kα).

Main lines, in order of falling intensity (2θ from 10° to 90°):
2θ = 37.48°, I 100
2θ = 42.32°, I 45
2θ = 44.01°, I 35
2θ = 35.27°, I 33
2θ = 24.68°, I 23
2θ = 36.94°, I 20
2θ = 36.75°, I 20
2θ = 76.59°, I 12
2θ = 23.74°, I 11
2θ = 58.64°, I 10

Cell and atoms:
a b c (Å): 5.337 5.337 14.912
angles (deg): 99.46 99.46 45.34
Fractional coordinates of all 18 atoms:
Hf1 0.000 0.000 0.000
Hf2 0.224 0.224 0.863
Hf3 0.333 0.333 0.667
Hf4 0.557 0.557 0.528
Hf5 0.665 0.665 0.337
Hf6 0.890 0.890 0.196
Ga1 0.044 0.044 0.667
Ga2 0.187 0.187 0.199
Ga3 0.376 0.376 0.339
Ga4 0.519 0.519 0.865
Ga5 0.556 0.556 0.139
Ga6 0.712 0.712 0.002
Ga7 0.846 0.846 0.529
Ga8 0.889 0.889 0.804
Cu1 0.233 0.233 0.471
Cu2 0.317 0.317 0.062
Cu3 0.650 0.650 0.727
Cu4 0.988 0.988 0.395



# 7
For Ho3Ga4Cu2, a GGA-PBE-relaxed structure gives the theoretical X-ray powder pattern in this record (copper Kα).

Main lines, in order of falling intensity (2θ from 10° to 90°):
2θ = 34.25°, I 100
2θ = 41.83°, I 53
2θ = 55.13°, I 25
2θ = 71.52°, I 23
2θ = 23.79°, I 20
2θ = 66.97°, I 17
2θ = 76.38°, I 9
2θ = 49.76°, I 7
2θ = 44.28°, I 7
2θ = 55.87°, I 5

Cell and atoms:
a b c (Å): 4.320 4.320 21.989
angles (deg): 90.00 90.00 120.00
Fractional coordinates of all 18 atoms:
Ho1 0.000 0.000 0.000
Ho2 0.000 0.000 0.156
Ho3 0.000 0.000 0.333
Ho4 0.000 0.000 0.489
Ho5 0.000 0.000 0.666
Ho6 0.000 0.000 0.822
Ga1 0.333 0.667 0.083
Ga2 0.333 0.667 0.231
Ga3 0.333 0.667 0.416
Ga4 0.333 0.667 0.564
Ga5 0.333 0.667 0.898
Ga6 0.667 0.333 0.257
Ga7 0.667 0.333 0.589
Ga8 0.667 0.333 0.924
Cu1 0.333 0.667 0.751
Cu2 0.667 0.333 0.069
Cu3 0.667 0.333 0.401
Cu4 0.667 0.333 0.736



# 8
For Ho2Ga3Cu, a GGA-PBE-relaxed structure gives the theoretical X-ray powder pattern in this record (copper Kα).

Main lines, in order of falling intensity (2θ from 10° to 90°):
2θ = 34.45°, I 100
2θ = 41.29°, I 57
2θ = 54.83°, I 26
2θ = 70.89°, I 24
2θ = 23.49°, I 21
2θ = 67.58°, I 14
2θ = 75.28°, I 9
2θ = 44.84°, I 9
2θ = 56.82°, I 7
2θ = 89.69°, I 6

Cell and atoms:
a b c (Å): 4.373 4.373 7.170
angles (deg): 90.00 90.00 120.00
Fractional coordinates of all 6 atoms:
Ho1 0.000 0.000 0.000
Ho2 0.000 0.000 0.471
Ga1 0.333 0.667 0.215
Ga2 0.333 0.667 0.786
Ga3 0.667 0.333 0.690
Cu1 0.667 0.333 0.277